For Ba5SrNd2Fe4O15, a PBE+U-relaxed structure gives the calculated XRD peak list in this record (CuKα).
Lines closer than 0.1° are merged.

Principal peaks in the range 2θ = 10–90°, in order of rising 2θ:
- 2θ 26.20, I = 13
- 2θ 29.36, I = 14
- 2θ 29.47, I = 17
- 2θ 30.14, I = 100
- 2θ 30.67, I = 27
- 2θ 30.78, I = 13
- 2θ 36.43, I = 11
- 2θ 36.59, I = 22
- 2θ 48.13, I = 14
- 2θ 53.53, I = 14

Atomic structure:
a = 11.8542 Å, b = 11.8542 Å, c = 7.0693 Å
α = 90.17°, β = 90.17°, γ = 119.89°
Atoms (fractional coordinates):
Ba (0.0009, 0.9991, 0.5000)
Ba (0.1698, 0.3523, 0.1520)
Ba (0.1790, 0.8255, 0.1523)
Ba (0.3327, 0.6677, 0.4631)
Ba (0.3523, 0.1698, 0.6520)
Ba (0.6501, 0.8246, 0.1609)
Ba (0.6677, 0.3327, 0.9631)
Ba (0.8255, 0.1790, 0.6523)
Ba (0.8246, 0.6501, 0.6609)
Ba (0.9991, 0.0009, 0.0000)
Sr (0.0450, 0.5243, 0.8253)
Sr (0.5243, 0.0450, 0.3253)
Nd (0.4739, 0.5177, 0.8278)
Nd (0.4799, 0.9541, 0.8228)
Nd (0.5177, 0.4739, 0.3278)
Nd (0.9541, 0.4799, 0.3228)
Fe (0.1764, 0.3588, 0.6506)
Fe (0.1793, 0.8194, 0.6556)
Fe (0.3339, 0.6650, 0.0034)
Fe (0.3588, 0.1764, 0.1506)
Fe (0.6413, 0.8151, 0.6608)
Fe (0.6650, 0.3339, 0.5034)
Fe (0.8151, 0.6413, 0.1608)
Fe (0.8194, 0.1793, 0.1556)
O (0.0629, 0.6749, 0.5038)
O (0.0696, 0.4017, 0.5033)
O (0.0832, 0.1959, 0.7628)
O (0.0991, 0.9023, 0.7714)
O (0.1746, 0.5874, 0.1571)
O (0.1959, 0.0832, 0.2628)
O (0.2569, 0.5006, 0.8305)
O (0.2576, 0.7518, 0.8294)
O (0.3289, 0.3896, 0.5192)
O (0.3347, 0.9341, 0.5314)
O (0.3896, 0.3289, 0.0192)
O (0.4017, 0.0696, 0.0033)
O (0.4154, 0.5813, 0.1548)
O (0.4147, 0.8265, 0.1461)
O (0.4993, 0.7449, 0.8389)
O (0.5006, 0.2569, 0.3305)
O (0.5813, 0.4154, 0.6548)
O (0.5874, 0.1746, 0.6571)
O (0.5915, 0.6583, 0.5245)
O (0.6056, 0.9333, 0.5359)
O (0.6583, 0.5915, 0.0245)
O (0.6749, 0.0629, 0.0038)
O (0.7449, 0.4993, 0.3389)
O (0.7518, 0.2576, 0.3294)
O (0.8060, 0.8820, 0.7658)
O (0.8265, 0.4147, 0.6461)
O (0.8820, 0.8060, 0.2658)
O (0.9023, 0.0991, 0.2714)
O (0.9333, 0.6056, 0.0359)
O (0.9341, 0.3347, 0.0314)